# CsK12Rb5
Computed XRD peak list, Cu Kα (weighted mean of Kα1 and Kα2). Input: the PBE geometry in Alexandria.

Atomic structure:
```
data_CsK12Rb5
_chemical_formula_sum 'Cs1 K12 Rb5'
_cell_length_a 7.645
_cell_length_b 14.023
_cell_length_c 14.062
_cell_angle_alpha 109.38
_cell_angle_beta 90.01
_cell_angle_gamma 90.00
_symmetry_space_group_name_H-M 'P -1'
_symmetry_Int_Tables_number 2
loop_
_symmetry_equiv_pos_as_xyz
'x,y,z'
'-x,-y,-z'
loop_
_atom_site_label
_atom_site_type_symbol
_atom_site_fract_x
_atom_site_fract_y
_atom_site_fract_z
Cs1 Cs 0.000 0.000 0.000
K1 K 0.001 0.667 0.667
K2 K 0.002 0.656 0.990
K3 K 0.002 0.990 0.656
K4 K 0.498 0.161 0.495
K5 K 0.498 0.495 0.161
K6 K 0.499 0.180 0.180
Rb1 Rb 0.000 0.331 0.669
Rb2 Rb 0.500 0.167 0.834
Rb3 Rb 0.500 0.500 0.500
```

Principal peaks in the range 2θ = 5–70°, low angle first:
two_theta, I (rel.), h k l
17.30, 12.7, 1 1 -2
23.27, 100.0, 2 0 0
33.14, 19.3, 2 3 -3
40.87, 31.0, 3 3 0
40.95, 10.3, 1 6 -3
47.53, 6.4, 4 0 0
47.62, 6.4, 0 6 -6
53.59, 11.5, 4 3 -3
53.66, 6.0, 2 6 -6
64.50, 8.9, 5 3 0

---

# Sb3Ru
Computed XRD peak list, Cu Kα (weighted mean of Kα1 and Kα2). Input: the PBE geometry in Alexandria.

Atomic structure:
```
data_Sb3Ru
_chemical_formula_sum 'Sb6 Ru2'
_cell_length_a 6.7214
_cell_length_b 6.7214
_cell_length_c 5.1870
_cell_angle_alpha 90.00
_cell_angle_beta 90.00
_cell_angle_gamma 120.00
_symmetry_space_group_name_H-M 'P 63 2 2'
_symmetry_Int_Tables_number 182
_symmetry_space_group_name_Hall 'P 6c 2c'
loop_
_atom_site_label
_atom_site_type_symbol
_atom_site_fract_x
_atom_site_fract_y
_atom_site_fract_z
Sb1 Sb 0.0000 0.3264 0.0000
Ru1 Ru 0.3333 0.6667 0.2500
```

Principal peaks in the range 2θ = 5–70°, low angle first:
two_theta, I (rel.), h k l
22.97, 18.8, 1 0 1
31.73, 100.0, 1 1 1
34.58, 9.0, 0 0 2
44.11, 32.7, 1 1 2
44.74, 6.6, 2 1 1
46.82, 36.5, 3 0 0
57.67, 17.5, 2 2 1
59.50, 10.9, 3 0 2
60.19, 15.5, 1 1 3
66.28, 9.4, 2 2 2

---

# Ba2Sn17
Computed XRD peak list, Cu Kα (weighted mean of Kα1 and Kα2). Input: the PBE geometry in Alexandria.

Atomic structure:
```
data_Ba2Sn17
_chemical_formula_sum 'Ba6 Sn51'
_cell_length_a 10.9255
_cell_length_b 10.9255
_cell_length_c 16.9390
_cell_angle_alpha 90.00
_cell_angle_beta 90.00
_cell_angle_gamma 120.00
_symmetry_space_group_name_H-M 'R -3 m'
_symmetry_Int_Tables_number 166
_symmetry_space_group_name_Hall '-R 3 2"'
loop_
_atom_site_label
_atom_site_type_symbol
_atom_site_fract_x
_atom_site_fract_y
_atom_site_fract_z
Ba1 Ba 0.0000 0.0000 0.1652
Sn1 Sn 0.0000 0.0000 0.4043
Sn2 Sn 0.0000 0.2923 0.5000
Sn3 Sn 0.0000 0.5000 0.0000
Sn4 Sn 0.0039 0.5020 0.6456
```

Principal peaks in the range 2θ = 5–70°, low angle first:
two_theta, I (rel.), h k l
28.29, 44.3, 0 2 4
31.69, 26.8, 0 0 6
32.51, 100.0, 0 3 3
32.79, 51.8, 2 2 0
35.80, 15.5, 1 1 6
36.54, 55.1, 2 2 3
52.83, 11.6, 3 3 3
56.98, 22.1, 0 3 9
58.52, 28.1, 6 0 0
68.73, 11.9, 4 4 0

---

# Na5B6C4
Computed XRD peak list, Cu Kα (weighted mean of Kα1 and Kα2). Input: the PBE geometry in Alexandria.

Atomic structure:
```
data_Na5B6C4
_chemical_formula_sum 'Na10 B12 C8'
_cell_length_a 4.953
_cell_length_b 8.476
_cell_length_c 7.582
_cell_angle_alpha 90.00
_cell_angle_beta 109.07
_cell_angle_gamma 90.00
_symmetry_space_group_name_H-M 'P 1 21/m 1'
_symmetry_Int_Tables_number 11
loop_
_symmetry_equiv_pos_as_xyz
'x,y,z'
'-x,-y,-z'
'-x,y+1/2,-z'
'x,-y+1/2,z'
loop_
_atom_site_label
_atom_site_type_symbol
_atom_site_fract_x
_atom_site_fract_y
_atom_site_fract_z
Na1 Na 0.000 0.000 0.000
Na2 Na 0.201 0.002 0.401
Na3 Na 0.399 0.502 0.801
B1 B 0.084 0.750 0.800
B2 B 0.134 0.250 0.600
B3 B 0.266 0.750 0.200
B4 B 0.268 0.250 0.200
B5 B 0.331 0.250 0.988
B6 B 0.458 0.750 0.589
C1 C 0.068 0.250 0.794
C2 C 0.132 0.750 0.598
C3 C 0.334 0.750 0.003
C4 C 0.474 0.250 0.606
```

Principal peaks in the range 2θ = 5–70°, low angle first:
two_theta, I (rel.), h k l
20.96, 0.8, 0 2 0
36.23, 17.7, 1 0 2
42.23, 100.0, 2 2 -1
42.67, 25.4, 0 4 0
57.18, 9.8, 1 4 2
65.08, 5.7, 0 0 5
65.21, 11.5, 3 0 1
69.20, 0.5, 0 2 5
69.32, 1.0, 3 2 1

---

# Tb2RuPbO8
Computed XRD peak list, Cu Kα (weighted mean of Kα1 and Kα2). Input: the PBE geometry in Alexandria.

Atomic structure:
```
data_Tb2RuPbO8
_chemical_formula_sum 'Tb4 Ru2 Pb2 O16'
_cell_length_a 7.039
_cell_length_b 7.180
_cell_length_c 6.828
_cell_angle_alpha 90.00
_cell_angle_beta 90.00
_cell_angle_gamma 90.00
_symmetry_space_group_name_H-M 'C m m m'
_symmetry_Int_Tables_number 65
_symmetry_space_group_name_Hall '-C 2 2'
loop_
_atom_site_label
_atom_site_type_symbol
_atom_site_fract_x
_atom_site_fract_y
_atom_site_fract_z
Tb1 Tb 0.000 0.000 0.249
Ru1 Ru 0.000 0.500 0.000
Pb1 Pb 0.000 0.500 0.500
O1 O 0.000 0.318 0.216
O2 O 0.193 0.000 0.500
O3 O 0.234 0.000 0.000
```

Principal peaks in the range 2θ = 5–70°, low angle first:
two_theta, I (rel.), h k l
24.80, 57.7, 0 2 0
25.31, 52.3, 2 0 0
31.68, 100.0, 1 1 2
35.73, 29.2, 2 2 0
48.20, 40.5, 1 3 2
48.77, 36.1, 3 1 2
58.40, 9.9, 4 2 0
60.01, 10.7, 0 2 4
61.67, 21.7, 3 3 2
66.18, 11.2, 2 2 4

---

# LuGaAgAu
Computed XRD peak list, Cu Kα (weighted mean of Kα1 and Kα2). Input: the PBE geometry in Alexandria.

Atomic structure:
```
data_LuGaAgAu
_chemical_formula_sum 'Lu4 Ga4 Ag4 Au4'
_cell_length_a 6.748
_cell_length_b 6.748
_cell_length_c 6.748
_cell_angle_alpha 90.00
_cell_angle_beta 90.00
_cell_angle_gamma 90.00
_symmetry_space_group_name_H-M 'F -4 3 m'
_symmetry_Int_Tables_number 216
_symmetry_space_group_name_Hall 'F -4 2 3'
loop_
_atom_site_label
_atom_site_type_symbol
_atom_site_fract_x
_atom_site_fract_y
_atom_site_fract_z
Lu1 Lu 0.000 0.000 0.000
Ga1 Ga 0.000 0.000 0.500
Ag1 Ag 0.250 0.250 0.750
Au1 Au 0.250 0.250 0.250
```

Principal peaks in the range 2θ = 5–70°, low angle first:
two_theta, I (rel.), h k l
22.82, 12.8, 1 1 1
26.41, 1.7, 2 0 0
37.70, 100.0, 2 2 0
44.53, 7.2, 3 1 1
54.38, 17.2, 4 0 0
59.73, 3.2, 3 3 1
61.45, 0.6, 4 2 0
68.06, 35.0, 4 2 2

---

# HfAs2Au2
Computed XRD peak list, Cu Kα (weighted mean of Kα1 and Kα2). Input: the PBE geometry in Alexandria.

Atomic structure:
```
data_HfAs2Au2
_chemical_formula_sum 'Hf2 As4 Au4'
_cell_length_a 7.243
_cell_length_b 7.243
_cell_length_c 3.686
_cell_angle_alpha 90.00
_cell_angle_beta 90.00
_cell_angle_gamma 90.00
_symmetry_space_group_name_H-M 'P 4/m b m'
_symmetry_Int_Tables_number 127
_symmetry_space_group_name_Hall '-P 4 2ab'
loop_
_atom_site_label
_atom_site_type_symbol
_atom_site_fract_x
_atom_site_fract_y
_atom_site_fract_z
Hf1 Hf 0.000 0.000 0.000
As1 As 0.162 0.338 0.000
Au1 Au 0.144 0.644 0.500
```

Principal peaks in the range 2θ = 5–70°, low angle first:
two_theta, I (rel.), h k l
27.54, 20.3, 2 1 0
29.87, 39.6, 1 1 1
34.73, 13.4, 2 0 1
36.94, 100.0, 2 1 1
39.34, 54.6, 3 1 0
49.45, 16.3, 0 0 2
56.63, 15.9, 4 0 1
58.17, 9.5, 4 1 1
59.69, 9.0, 3 3 1
64.95, 25.2, 3 1 2

---

# LaDy2Th
Computed XRD peak list, Cu Kα (weighted mean of Kα1 and Kα2). Input: the PBE geometry in Alexandria.

Atomic structure:
```
data_LaDy2Th
_chemical_formula_sum 'La3 Dy6 Th3'
_cell_length_a 3.6072
_cell_length_b 3.6072
_cell_length_c 35.0787
_cell_angle_alpha 90.00
_cell_angle_beta 90.00
_cell_angle_gamma 120.00
_symmetry_space_group_name_H-M 'R 3 m'
_symmetry_Int_Tables_number 160
_symmetry_space_group_name_Hall 'R 3 -2"'
loop_
_atom_site_label
_atom_site_type_symbol
_atom_site_fract_x
_atom_site_fract_y
_atom_site_fract_z
La1 La 0.0000 0.0000 0.0000
Dy1 Dy 0.0000 0.0000 0.5789
Dy2 Dy 0.0000 0.0000 0.7530
Th1 Th 0.0000 0.0000 0.1660
```

Principal peaks in the range 2θ = 5–70°, low angle first:
two_theta, I (rel.), h k l
7.56, 25.2, 0 0 3
29.03, 36.2, 0 1 2
30.58, 44.7, 0 0 12
31.35, 100.0, 0 1 5
33.81, 71.1, 1 0 7
38.58, 26.5, 1 0 10
50.61, 34.6, 1 1 0
53.20, 24.6, 0 1 17
60.30, 39.6, 1 1 12
60.75, 15.4, 2 0 5

---

# MgGa2Pt3
Computed XRD peak list, Cu Kα (weighted mean of Kα1 and Kα2). Input: the PBE geometry in Alexandria.

Atomic structure:
```
data_MgGa2Pt3
_chemical_formula_sum 'Mg1 Ga2 Pt3'
_cell_length_a 3.063
_cell_length_b 3.063
_cell_length_c 9.970
_cell_angle_alpha 90.00
_cell_angle_beta 90.00
_cell_angle_gamma 90.00
_symmetry_space_group_name_H-M 'P 4/m m m'
_symmetry_Int_Tables_number 123
_symmetry_space_group_name_Hall '-P 4 2'
loop_
_atom_site_label
_atom_site_type_symbol
_atom_site_fract_x
_atom_site_fract_y
_atom_site_fract_z
Mg1 Mg 0.000 0.000 0.000
Ga1 Ga 0.000 0.000 0.336
Pt1 Pt 0.500 0.500 0.184
Pt2 Pt 0.500 0.500 0.500
```

Principal peaks in the range 2θ = 5–70°, low angle first:
two_theta, I (rel.), h k l
8.87, 11.9, 0 0 1
26.83, 19.5, 0 0 3
29.15, 35.1, 1 0 0
40.03, 100.0, 1 0 3
41.70, 47.1, 1 1 0
50.28, 14.7, 1 1 3
55.28, 8.3, 0 0 6
60.45, 15.8, 2 0 0
67.32, 6.3, 2 0 3
68.50, 6.7, 2 1 0

---

# ThCdGa
Computed XRD peak list, Cu Kα (weighted mean of Kα1 and Kα2). Input: the PBE geometry in Alexandria.

Atomic structure:
```
data_ThCdGa
_chemical_formula_sum 'Th2 Cd2 Ga2'
_cell_length_a 4.794
_cell_length_b 3.648
_cell_length_c 8.323
_cell_angle_alpha 90.00
_cell_angle_beta 90.00
_cell_angle_gamma 90.00
_symmetry_space_group_name_H-M 'P m m a'
_symmetry_Int_Tables_number 51
loop_
_symmetry_equiv_pos_as_xyz
'x,y,z'
'-x,-y,-z'
'-x+1/2,-y,z'
'x+1/2,y,-z'
'x+1/2,-y,-z'
'-x+1/2,y,z'
'-x,y,-z'
'x,-y,z'
loop_
_atom_site_label
_atom_site_type_symbol
_atom_site_fract_x
_atom_site_fract_y
_atom_site_fract_z
Th1 Th 0.250 0.000 0.228
Cd1 Cd 0.250 0.500 0.585
Ga1 Ga 0.250 0.500 0.916
```

Principal peaks in the range 2θ = 5–70°, low angle first:
two_theta, I (rel.), h k l
21.38, 21.8, 1 0 1
28.40, 4.7, 1 0 2
32.66, 100.0, 1 1 1
37.48, 56.2, 2 0 0
50.01, 8.7, 0 2 0
50.55, 27.3, 2 1 2
64.13, 23.1, 2 2 0
64.56, 14.5, 2 1 4
64.66, 9.6, 3 1 1
67.66, 6.4, 3 0 3

---

# NdTh6Pb10
Computed XRD peak list, Cu Kα (weighted mean of Kα1 and Kα2). Input: the PBE geometry in Alexandria.

Atomic structure:
```
data_NdTh6Pb10
_chemical_formula_sum 'Nd1 Th6 Pb10'
_cell_length_a 9.7281
_cell_length_b 9.7281
_cell_length_c 6.4608
_cell_angle_alpha 90.00
_cell_angle_beta 90.00
_cell_angle_gamma 120.00
_symmetry_space_group_name_H-M 'P -3 1 m'
_symmetry_Int_Tables_number 162
_symmetry_space_group_name_Hall '-P 3 2'
loop_
_atom_site_label
_atom_site_type_symbol
_atom_site_fract_x
_atom_site_fract_y
_atom_site_fract_z
Nd1 Nd 0.0000 0.0000 0.0000
Th1 Th 0.0000 0.3858 0.7592
Pb1 Pb 0.0000 0.2704 0.2760
Pb2 Pb 0.3333 0.6667 0.0000
Pb3 Pb 0.3333 0.6667 0.5000
```

Principal peaks in the range 2θ = 5–70°, low angle first:
two_theta, I (rel.), h k l
31.32, 78.5, 3 -1 1
31.87, 88.0, 3 0 0
33.29, 100.0, 1 1 2
41.08, 24.0, 3 1 1
46.75, 26.2, 4 -2 2
49.21, 14.5, 3 2 1
51.21, 17.4, 2 1 3
57.70, 16.0, 4 1 2
59.83, 16.4, 6 -2 1
66.82, 19.2, 3 0 4

---

# Pm6CoRh
Computed XRD peak list, Cu Kα (weighted mean of Kα1 and Kα2). Input: the PBE geometry in Alexandria.

Atomic structure:
```
data_Pm6CoRh
_chemical_formula_sum 'Pm12 Co2 Rh2'
_cell_length_a 6.841
_cell_length_b 11.246
_cell_length_c 6.796
_cell_angle_alpha 90.00
_cell_angle_beta 108.37
_cell_angle_gamma 90.00
_symmetry_space_group_name_H-M 'C 1 2/m 1'
_symmetry_Int_Tables_number 12
loop_
_symmetry_equiv_pos_as_xyz
'x,y,z'
'-x,-y,-z'
'-x,y,-z'
'x,-y,z'
'x+1/2,y+1/2,z'
'-x+1/2,-y+1/2,-z'
'-x+1/2,y+1/2,-z'
'x+1/2,-y+1/2,z'
loop_
_atom_site_label
_atom_site_type_symbol
_atom_site_fract_x
_atom_site_fract_y
_atom_site_fract_z
Pm1 Pm 0.233 0.170 0.247
Pm2 Pm 0.246 0.500 0.238
Co1 Co 0.000 0.000 0.000
Rh1 Rh 0.000 0.500 0.500
```

Principal peaks in the range 2θ = 5–70°, low angle first:
two_theta, I (rel.), h k l
27.48, 37.4, 2 0 0
27.66, 35.9, 0 0 2
28.77, 64.9, 1 3 -1
32.38, 51.4, 2 0 -2
32.78, 100.0, 1 3 1
45.47, 19.4, 2 0 2
46.63, 35.9, 3 3 -1
46.87, 36.7, 1 3 -3
56.71, 18.9, 4 0 0
59.59, 18.0, 2 6 -2